Diffraction record for Na2DyPWO8. The powder diffractogram is theoretical, not measured: it uses a structure optimized by DFT (GGA+U) and CuKα.
Neutral-atom scattering factors, no anomalous dispersion.

Top 10 peaks for 5 to 70 degrees two-theta, most intense first:
2θ 27.4, 3.254 Å, I = 100; 2θ 14.5, 6.122 Å, I = 90; 2θ 17.6, 5.045 Å, I = 89; 2θ 24.4, 3.643 Å, I = 68; 2θ 32.3, 2.769 Å, I = 55; 2θ 27.1, 3.285 Å, I = 55; 2θ 29.4, 3.041 Å, I = 46; 2θ 32.1, 2.787 Å, I = 38; 2θ 9.7, 9.122 Å, I = 37; 2θ 35.3, 2.544 Å, I = 36

```
Na2DyPWO8
1.0
-3.483 6.122 9.122
3.483 -6.122 9.122
3.483 6.122 -9.122
Na Dy P W O
8 4 4 4 32
Cartesian
3.501 -0.613 2.825
0.018 0.613 2.825
3.501 5.509 -2.825
3.501 0.613 6.297
-0.018 5.509 2.825
-0.018 0.613 11.948
3.464 5.509 6.297
-0.018 6.736 6.297
5.224 2.175 0.000
1.741 3.947 0.000
1.741 2.175 9.122
-1.741 3.947 9.122
1.741 0.848 0.000
1.741 -0.848 9.122
1.741 6.971 0.000
1.741 5.274 9.122
3.483 -3.061 5.876
3.483 3.061 3.247
0.000 3.061 5.876
0.000 9.184 3.247
1.809 -0.078 1.240
5.292 0.078 1.240
3.186 4.546 -4.890
2.014 -3.373 6.920
3.186 -1.576 4.890
2.957 1.817 -0.124
0.526 1.817 0.124
1.469 3.373 -2.202
4.008 4.305 -0.124
4.952 2.749 2.202
2.957 -1.817 9.246
3.186 1.576 4.232
2.014 3.373 2.202
-0.297 1.576 4.890
1.809 6.045 -1.240
1.809 0.078 7.883
1.674 6.045 1.240
1.674 0.078 10.362
3.779 4.546 4.232
1.469 2.749 6.920
0.297 4.546 4.890
0.526 7.939 -0.124
-1.469 3.373 6.920
-0.526 1.817 9.246
2.014 2.749 11.325
2.957 4.305 8.999
0.526 4.305 9.246
0.297 7.699 4.232
1.469 9.496 2.202
0.297 1.576 14.012
-1.809 6.045 7.883
1.674 6.200 7.883
```